1.
Diffraction record for MgCu2N2. The powder diffractogram is theoretical, not measured: it uses a structure optimized by DFT (PBE) and CuKα.

Atomic structure:
```
data_MgCu2N2
_chemical_formula_sum 'Mg1 Cu2 N2'
_symmetry_space_group_name_H-M 'P 1'
_symmetry_Int_Tables_number 1
_cell_length_a 3.597
_cell_length_b 3.598
_cell_length_c 5.283
_cell_angle_alpha 90.60
_cell_angle_beta 91.19
_cell_angle_gamma 90.05
loop_
_symmetry_equiv_pos_as_xyz
'x,y,z'
loop_
_atom_site_label
_atom_site_type_symbol
_atom_site_fract_x
_atom_site_fract_y
_atom_site_fract_z
Mg1 Mg 0.000 0.000 0.000
Cu1 Cu 0.492 0.496 0.733
Cu2 Cu 0.507 0.504 0.266
N1 N 0.006 0.503 0.224
N2 N 0.494 0.997 0.775
```

Largest 8 diffraction maxima, most intense first, 2θ from 10° to 90°:
2θ = 24.7°, I = 100; 2θ = 35.3°, I = 59; 2θ = 50.8°, I = 37; 2θ = 33.9°, I = 32; 2θ = 42.0°, I = 25; 2θ = 42.2°, I = 25; 2θ = 42.7°, I = 23; 2θ = 42.9°, I = 23


2.
Diffraction record for ErTmTl2. The powder diffractogram is theoretical, not measured: it uses a structure optimized by DFT (PBE) and CuKα.

Atomic structure:
```
data_ErTmTl2
_chemical_formula_sum 'Er1 Tm1 Tl2'
_symmetry_space_group_name_H-M 'P 1'
_symmetry_Int_Tables_number 1
_cell_length_a 5.324
_cell_length_b 5.324
_cell_length_c 5.324
_cell_angle_alpha 60.00
_cell_angle_beta 60.00
_cell_angle_gamma 60.00
loop_
_symmetry_equiv_pos_as_xyz
'x,y,z'
loop_
_atom_site_label
_atom_site_type_symbol
_atom_site_fract_x
_atom_site_fract_y
_atom_site_fract_z
Er1 Er 0.000 0.000 0.000
Tm1 Tm 0.500 0.500 0.500
Tl1 Tl 0.250 0.250 0.250
Tl2 Tl 0.750 0.750 0.750
```

Largest 6 diffraction maxima, most intense first, 2θ from 10° to 90°:
2θ = 33.7°, I = 100; 2θ = 60.2°, I = 38; 2θ = 48.4°, I = 18; 2θ = 80.7°, I = 17; 2θ = 70.8°, I = 12; 2θ = 23.6°, I = 1


3.
Diffraction record for Mn3Be. The powder diffractogram is theoretical, not measured: it uses a structure optimized by DFT (PBE) and CuKα.

Atomic structure:
```
data_Mn3Be
_chemical_formula_sum 'Mn6 Be2'
_symmetry_space_group_name_H-M 'P 1'
_symmetry_Int_Tables_number 1
_cell_length_a 4.791
_cell_length_b 4.791
_cell_length_c 4.033
_cell_angle_alpha 90.00
_cell_angle_beta 90.00
_cell_angle_gamma 120.00
loop_
_symmetry_equiv_pos_as_xyz
'x,y,z'
loop_
_atom_site_label
_atom_site_type_symbol
_atom_site_fract_x
_atom_site_fract_y
_atom_site_fract_z
Mn1 Mn 0.172 0.344 0.250
Mn2 Mn 0.172 0.828 0.250
Mn3 Mn 0.344 0.172 0.750
Mn4 Mn 0.656 0.828 0.250
Mn5 Mn 0.828 0.172 0.750
Mn6 Mn 0.828 0.656 0.750
Be1 Be 0.333 0.667 0.750
Be2 Be 0.667 0.333 0.250
```

Largest 8 diffraction maxima, most intense first, 2θ from 10° to 90°:
2θ = 49.4°, I = 100; 2θ = 30.9°, I = 40; 2θ = 44.9°, I = 30; 2θ = 43.6°, I = 25; 2θ = 86.2°, I = 18; 2θ = 64.4°, I = 14; 2θ = 80.1°, I = 14; 2θ = 37.5°, I = 13